Record 1
For Nd5AlSe4, a structure optimized by DFT (GGA-PBE) gives the computed X-ray powder pattern in this record (a wavelength of 1.5418 Å).
Intensities are scaled so that the largest is 1000.

Atomic structure:
Cell lengths 7.4038, 7.4038, 7.4038 Å; angles 99.50, 99.50, 132.07 degrees
Atoms (fractional coordinates):
Nd: 0.0000 0.0000 0.0000
Nd: 0.1999 0.5983 0.7982
Nd: 0.4017 0.1999 0.6016
Nd: 0.5983 0.8001 0.3984
Nd: 0.8001 0.4017 0.2018
Al: 0.5000 0.5000 0.0000
Se: 0.1003 0.3006 0.4009
Se: 0.3006 0.8997 0.2003
Se: 0.6994 0.1003 0.7997
Se: 0.8997 0.6994 0.5991

Largest 6 diffraction maxima, by angle, 10° ≤ 2θ ≤ 90°:
Position (°2θ)  I/Imax
25.55  359
29.52  1000
29.71  491
42.24  375
42.38  743
52.49  397


Record 2
For Nd2Al3Si, a structure optimized by DFT (GGA-PBE) gives the computed X-ray powder pattern in this record (a wavelength of 1.5418 Å).
Intensities are scaled so that the largest is 1000.

Atomic structure:
Cell lengths 4.2284, 4.3251, 7.4884 Å; angles 90.00, 90.00, 90.00 degrees
Atoms (fractional coordinates):
Nd: 0.0000 0.0000 0.0000
Nd: 0.0000 0.5000 0.4847
Al: 0.5000 0.0000 0.6542
Al: 0.5000 0.5000 0.1614
Al: 0.5000 0.5000 0.8236
Si: 0.5000 0.0000 0.3259

Largest 6 diffraction maxima, by angle, 10° ≤ 2θ ≤ 90°:
Position (°2θ)  I/Imax
23.76  480
31.92  1000
41.78  317
53.52  227
61.33  202
70.11  199


Record 3
For TbNdAl2Si, a structure optimized by DFT (GGA-PBE) gives the computed X-ray powder pattern in this record (a wavelength of 1.5418 Å).
Intensities are scaled so that the largest is 1000.

Atomic structure:
Cell lengths 6.8470, 6.8470, 6.8470 Å; angles 142.95, 142.43, 53.79 degrees
Atoms (fractional coordinates):
Tb: 0.0000 0.0000 0.0000
Nd: 0.7419 0.2419 0.5000
Al: 0.3463 0.8463 0.5000
Al: 0.4917 0.4917 0.0000
Si: 0.1458 0.6458 0.5000

Largest 6 diffraction maxima, by angle, 10° ≤ 2θ ≤ 90°:
Position (°2θ)  I/Imax
21.42  290
21.68  317
29.25  216
29.87  260
32.41  1000
41.51  190


Record 4
For NdAl2SiTc2, a structure optimized by DFT (GGA-PBE) gives the computed X-ray powder pattern in this record (a wavelength of 1.5418 Å).
Intensities are scaled so that the largest is 1000.

Atomic structure:
Cell lengths 4.5163, 4.5163, 5.6988 Å; angles 90.00, 90.00, 90.00 degrees
Atoms (fractional coordinates):
Nd: 0.0000 0.0000 0.0000
Al: 0.5000 0.5000 0.2473
Al: 0.5000 0.5000 0.7527
Si: 0.0000 0.0000 0.5000
Tc: 0.0000 0.5000 0.5000
Tc: 0.5000 0.0000 0.5000

Largest 6 diffraction maxima, by angle, 10° ≤ 2θ ≤ 90°:
Position (°2θ)  I/Imax
31.39  270
32.13  1000
37.31  338
39.92  497
51.65  262
67.64  259


Record 5
For NdAlZn2Si, a structure optimized by DFT (GGA-PBE) gives the computed X-ray powder pattern in this record (a wavelength of 1.5418 Å).
Intensities are scaled so that the largest is 1000.

Atomic structure:
Cell lengths 6.1637, 6.1637, 6.1637 Å; angles 140.71, 140.59, 56.86 degrees
Atoms (fractional coordinates):
Nd: 0.0000 0.0000 0.0000
Al: 0.2540 0.7540 0.5000
Zn: 0.6187 0.6187 0.0000
Zn: 0.7541 0.2541 0.5000
Si: 0.3966 0.3966 0.0000

Largest 6 diffraction maxima, by angle, 10° ≤ 2θ ≤ 90°:
Position (°2θ)  I/Imax
22.93  315
32.87  727
34.76  1000
47.30  349
55.67  318
66.29  248


Record 6
For Nd4SmAl2, a structure optimized by DFT (GGA-PBE) gives the computed X-ray powder pattern in this record (a wavelength of 1.5418 Å).
Intensities are scaled so that the largest is 1000.

Atomic structure:
Cell lengths 8.7471, 8.7471, 8.7471 Å; angles 36.08, 36.08, 36.08 degrees
Atoms (fractional coordinates):
Nd: 0.0884 0.0884 0.0884
Nd: 0.3479 0.3479 0.3479
Nd: 0.6521 0.6521 0.6521
Nd: 0.9116 0.9116 0.9116
Sm: 0.5000 0.5000 0.5000
Al: 0.2203 0.2203 0.2203
Al: 0.7797 0.7797 0.7797

Largest 6 diffraction maxima, by angle, 10° ≤ 2θ ≤ 90°:
Position (°2θ)  I/Imax
26.30  460
31.89  832
33.07  1000
46.61  289
56.43  190
58.33  296


Record 7
For NdSm4Al4, a structure optimized by DFT (GGA-PBE) gives the computed X-ray powder pattern in this record (a wavelength of 1.5418 Å).
Intensities are scaled so that the largest is 1000.

Atomic structure:
Cell lengths 8.8799, 8.8799, 6.0236 Å; angles 90.00, 90.00, 90.00 degrees
Atoms (fractional coordinates):
Nd: 0.2500 0.2500 0.2500
Nd: 0.7500 0.7500 0.7500
Sm: 0.0807 0.8236 0.6324
Sm: 0.1764 0.5807 0.1324
Sm: 0.3236 0.9193 0.1324
Sm: 0.4193 0.6764 0.6324
Sm: 0.5807 0.3236 0.3676
Sm: 0.6764 0.0807 0.8676
Sm: 0.8236 0.4193 0.8676
Sm: 0.9193 0.1764 0.3676
Al: 0.0574 0.1570 0.8443
Al: 0.1570 0.4426 0.6557
Al: 0.3430 0.0574 0.6557
Al: 0.4426 0.3430 0.8443
Al: 0.5574 0.6570 0.1557
Al: 0.6570 0.9426 0.3443
Al: 0.8430 0.5574 0.3443
Al: 0.9426 0.8430 0.1557

Largest 6 diffraction maxima, by angle, 10° ≤ 2θ ≤ 90°:
Position (°2θ)  I/Imax
17.79  592
26.89  640
31.36  883
31.87  1000
33.74  789
39.53  600


Record 8
For NdSm3Al2, a structure optimized by DFT (GGA-PBE) gives the computed X-ray powder pattern in this record (a wavelength of 1.5418 Å).
Intensities are scaled so that the largest is 1000.

Atomic structure:
Cell lengths 5.2142, 9.7815, 6.6831 Å; angles 90.00, 90.00, 90.00 degrees
Atoms (fractional coordinates):
Nd: 0.0000 0.0449 0.0000
Nd: 0.0000 0.9551 0.5000
Sm: 0.0000 0.3269 0.6579
Sm: 0.0000 0.6731 0.1579
Sm: 0.5000 0.1764 0.2842
Sm: 0.5000 0.4540 0.9429
Sm: 0.5000 0.5460 0.4429
Sm: 0.5000 0.8236 0.7842
Al: 0.0000 0.3539 0.1785
Al: 0.0000 0.6461 0.6785
Al: 0.5000 0.1478 0.7625
Al: 0.5000 0.8522 0.2625

Largest 6 diffraction maxima, by angle, 10° ≤ 2θ ≤ 90°:
Position (°2θ)  I/Imax
23.47  376
28.36  372
31.81  292
32.41  1000
33.13  668
34.40  420